Computed X-ray powder pattern of RbTl2CrI6 for Cu Kα, 1.54184 Å, from a DFT-relaxed cell (PBE, Alexandria).
No peak broadening, texture or thermal motion is included.

Structural model:
Unit cell a=8.5161 b=8.5161 c=21.7781 alpha=90.00 beta=90.00 gamma=120.00
Space group R3 (No. 146, hexagonal axes)
Unique sites:
Rb (0.0000, 0.0000, 0.0000) x3
Tl (0.0000, 0.0000, 0.2891) x3
Tl (0.0000, 0.0000, 0.8057) x3
Cr (0.0000, 0.0000, 0.4901) x3
I (0.0252, 0.2792, 0.5627) x9
I (0.0763, 0.6761, 0.0816) x9

The 8 most intense peaks (10 to 90 degrees two-theta), by angle:
Position (°2θ), intensity, index
14.51, 39, 0 1 2
20.27, 43, 1 0 4
24.23, 95, 1 1 3
29.25, 31, 0 2 4
32.40, 100, 2 -1 6
33.17, 32, 1 2 2
36.20, 44, 3 -1 4
36.55, 47, 3 0 0